CsMnCl3O2: computed powder diffractogram (CuKα), based on a GGA+U-relaxed structure.
Neutral-atom scattering factors, no anomalous dispersion.

Principal peaks in the range 2θ from 5° to 70°, by intensity:
2θ/deg	I (rel.)	(hkl)
30.2	100	1 2 2
17.7	63	1 0 2
22.7	58	2 1 0
32.7	57	3 0 2
21.5	49	1 1 2
43.8	42	2 2 4

Cell: 9.241 7.354 11.897 Å, 90.00 90.00 90.00°
Space group Pcca (No. 54)
Inequivalent atoms, fractional coordinates:
Cs (0.250, 0.000, 0.136) [4 per cell]
Mn (0.000, 0.449, 0.250) [4 per cell]
Cl (0.089, 0.253, 0.383) [8 per cell]
Cl (0.250, 0.500, 0.151) [4 per cell]
O (0.030, 0.287, 0.800) [8 per cell]

Li2Ni3SbO8: computed powder diffractogram (CuKα), based on a GGA+U-relaxed structure.
Neutral-atom scattering factors, no anomalous dispersion.

Principal peaks in the range 2θ from 5° to 70°, by intensity:
2θ/deg	I (rel.)	(hkl)
20.0	100	1 0 1
36.2	51	2 -1 2
33.4	40	1 0 3
36.9	37	2 0 1
25.8	33	1 0 2
46.0	33	2 0 3

Cell: 5.8128 5.8128 9.5131 Å, 90.00 90.00 120.00°
Space group P31c (No. 159)
Inequivalent atoms, fractional coordinates:
Li (0.0000, 0.0000, 0.0000) [2 per cell]
Li (0.3333, 0.6667, 0.4109) [2 per cell]
Ni (0.1650, 0.3389, 0.7235) [6 per cell]
Sb (0.3333, 0.6667, 0.9956) [2 per cell]
O (0.0000, 0.0000, 0.3088) [2 per cell]
O (0.0319, 0.5426, 0.8541) [6 per cell]
O (0.1443, 0.3271, 0.1028) [6 per cell]
O (0.3333, 0.6667, 0.6281) [2 per cell]

Li2FeCo3O8: computed powder diffractogram (CuKα), based on a GGA+U-relaxed structure.
Neutral-atom scattering factors, no anomalous dispersion.

Principal peaks in the range 2θ from 5° to 70°, by intensity:
2θ/deg	I (rel.)	(hkl)
18.9	100	1 -1 1
44.3	77	0 2 -4
18.6	48	0 0 2
36.5	35	-2 1 2
36.7	17	0 2 -2
36.1	16	1 0 3

Cell: 5.735 5.739 10.117 Å, 106.40 90.07 119.91°
Space group P-1 (No. 2)
Inequivalent atoms, fractional coordinates:
Li (0.056, 0.117, 0.183) [2 per cell]
Li (0.438, 0.882, 0.317) [2 per cell]
Fe (0.246, 0.500, 0.750) [2 per cell]
Co (0.000, 0.000, 0.500) [1 per cell]
Co (0.000, 0.500, 0.000) [1 per cell]
Co (0.000, 0.500, 0.500) [1 per cell]
Co (0.500, 0.000, 0.000) [1 per cell]
Co (0.500, 0.500, 0.000) [1 per cell]
Co (0.500, 0.500, 0.500) [1 per cell]
O (0.100, 0.752, 0.390) [2 per cell]
O (0.132, 0.264, 0.396) [2 per cell]
O (0.150, 0.751, 0.891) [2 per cell]
O (0.152, 0.292, 0.890) [2 per cell]
O (0.355, 0.253, 0.607) [2 per cell]
O (0.360, 0.708, 0.611) [2 per cell]
O (0.367, 0.736, 0.104) [2 per cell]
O (0.398, 0.252, 0.107) [2 per cell]

Li2CrP2O7: computed powder diffractogram (CuKα), based on a GGA+U-relaxed structure.
Neutral-atom scattering factors, no anomalous dispersion.

Principal peaks in the range 2θ from 5° to 70°, by intensity:
2θ/deg	I (rel.)	(hkl)
16.7	100	0 1 1
20.7	75	1 1 0
27.7	67	1 1 1
27.5	56	1 2 0
28.4	37	1 1 -2
33.8	25	0 2 2

Cell: 5.285 8.591 7.165 Å, 90.00 110.14 90.00°
Space group P2_1 (No. 4)
Inequivalent atoms, fractional coordinates:
Li (0.074, 0.000, 0.361) [2 per cell]
Li (0.256, 0.823, 0.096) [2 per cell]
Cr (0.037, 0.142, 0.729) [2 per cell]
P (0.333, 0.437, 0.073) [2 per cell]
P (0.341, 0.341, 0.478) [2 per cell]
O (0.138, 0.355, 0.887) [2 per cell]
O (0.160, 0.480, 0.479) [2 per cell]
O (0.206, 0.592, 0.103) [2 per cell]
O (0.216, 0.189, 0.518) [2 per cell]
O (0.338, 0.319, 0.252) [2 per cell]
O (0.370, 0.862, 0.384) [2 per cell]
O (0.382, 0.954, 0.928) [2 per cell]

Li3Fe3OF7: computed powder diffractogram (CuKα), based on a GGA+U-relaxed structure.
Neutral-atom scattering factors, no anomalous dispersion.

Principal peaks in the range 2θ from 5° to 70°, by intensity:
2θ/deg	I (rel.)	(hkl)
17.7	100	1 1 -1
41.6	75	2 2 2
34.0	43	3 1 -3
41.0	40	4 0 -4
17.5	37	0 0 2
59.8	24	6 2 -2

Cell: 10.775 6.076 10.749 Å, 90.00 109.72 90.00°
Space group Cc (No. 9)
Inequivalent atoms, fractional coordinates:
Li (0.000, 0.003, 0.000) [4 per cell]
Li (0.180, 0.264, 0.819) [4 per cell]
Li (0.311, 0.256, 0.190) [4 per cell]
Fe (0.003, 0.497, 0.498) [4 per cell]
Fe (0.004, 0.253, 0.257) [4 per cell]
Fe (0.242, 0.258, 0.495) [4 per cell]
O (0.118, 0.469, 0.379) [4 per cell]
F (0.111, 0.251, 0.118) [4 per cell]
F (0.116, 0.005, 0.884) [4 per cell]
F (0.117, 0.237, 0.620) [4 per cell]
F (0.367, 0.014, 0.615) [4 per cell]
F (0.379, 0.250, 0.386) [4 per cell]
F (0.382, 0.258, 0.888) [4 per cell]
F (0.385, 0.478, 0.632) [4 per cell]

LiV4O5F7: computed powder diffractogram (CuKα), based on a GGA+U-relaxed structure.
Neutral-atom scattering factors, no anomalous dispersion.

Principal peaks in the range 2θ from 5° to 70°, by intensity:
2θ/deg	I (rel.)	(hkl)
23.8	100	0 2 2
23.7	49	1 1 -1
33.4	22	1 1 3
48.8	21	2 -2 2
40.0	19	2 0 -2
54.2	13	2 0 4

Cell: 5.379 9.098 9.129 Å, 69.83 88.01 87.65°
Space group P1 (No. 1)
Inequivalent atoms, fractional coordinates:
Li (0.000, 0.000, 0.000) [1 per cell]
Li (0.462, 0.492, 0.990) [1 per cell]
V (0.008, 0.635, 0.121) [1 per cell]
V (0.017, 0.854, 0.376) [1 per cell]
V (0.448, 0.864, 0.869) [1 per cell]
V (0.485, 0.598, 0.614) [1 per cell]
V (0.511, 0.134, 0.121) [1 per cell]
V (0.517, 0.354, 0.375) [1 per cell]
V (0.946, 0.364, 0.869) [1 per cell]
V (0.985, 0.097, 0.615) [1 per cell]
O (0.190, 0.987, 0.800) [1 per cell]
O (0.269, 0.743, 0.455) [1 per cell]
O (0.294, 0.682, 0.995) [1 per cell]
O (0.486, 0.455, 0.535) [1 per cell]
O (0.488, 0.290, 0.189) [1 per cell]
O (0.689, 0.487, 0.801) [1 per cell]
O (0.768, 0.243, 0.455) [1 per cell]
O (0.795, 0.182, 0.995) [1 per cell]
O (0.987, 0.955, 0.535) [1 per cell]
O (0.988, 0.791, 0.189) [1 per cell]
F (0.187, 0.037, 0.232) [1 per cell]
F (0.198, 0.487, 0.291) [1 per cell]
F (0.198, 0.532, 0.758) [1 per cell]
F (0.280, 0.196, 0.494) [1 per cell]
F (0.285, 0.242, 0.945) [1 per cell]
F (0.481, 0.943, 0.045) [1 per cell]
F (0.489, 0.781, 0.698) [1 per cell]
F (0.690, 0.537, 0.234) [1 per cell]
F (0.696, 0.032, 0.756) [1 per cell]
F (0.698, 0.986, 0.292) [1 per cell]
F (0.781, 0.696, 0.495) [1 per cell]
F (0.784, 0.742, 0.945) [1 per cell]
F (0.989, 0.281, 0.699) [1 per cell]
F (0.989, 0.442, 0.044) [1 per cell]

Mg14CrFeO16: computed powder diffractogram (CuKα), based on a GGA+U-relaxed structure.
Neutral-atom scattering factors, no anomalous dispersion.

Principal peaks in the range 2θ from 5° to 70°, by intensity:
2θ/deg	I (rel.)	(hkl)
42.4	100	4 0 0
61.2	57	4 0 2
41.9	52	0 0 2
61.6	28	4 4 0
36.4	26	2 2 1
14.7	10	1 1 0

Cell: 8.521 8.521 4.309 Å, 90.00 90.00 90.00°
Space group P4/mmm (No. 123)
Inequivalent atoms, fractional coordinates:
Mg (0.000, 0.248, 0.000) [4 per cell]
Mg (0.000, 0.500, 0.500) [2 per cell]
Mg (0.248, 0.248, 0.500) [4 per cell]
Mg (0.249, 0.500, 0.000) [4 per cell]
Cr (0.500, 0.500, 0.500) [1 per cell]
Fe (0.000, 0.000, 0.500) [1 per cell]
O (0.000, 0.000, 0.000) [1 per cell]
O (0.000, 0.259, 0.500) [4 per cell]
O (0.000, 0.500, 0.000) [2 per cell]
O (0.250, 0.250, 0.000) [4 per cell]
O (0.252, 0.500, 0.500) [4 per cell]
O (0.500, 0.500, 0.000) [1 per cell]

SmFeO3: computed powder diffractogram (CuKα), based on a GGA+U-relaxed structure.
Neutral-atom scattering factors, no anomalous dispersion.

Principal peaks in the range 2θ from 5° to 70°, by intensity:
2θ/deg	I (rel.)	(hkl)
32.7	100	1 2 1
17.5	91	0 1 1
30.0	68	1 1 2
22.5	54	0 0 2
36.7	38	0 1 3
28.8	36	2 0 0

Cell: 6.195 6.619 7.900 Å, 90.00 90.00 90.00°
Space group Pnma (No. 62)
Inequivalent atoms, fractional coordinates:
Sm (0.053, 0.250, 0.095) [4 per cell]
Fe (0.000, 0.000, 0.500) [4 per cell]
O (0.055, 0.750, 0.618) [4 per cell]
O (0.213, 0.509, 0.942) [8 per cell]